Computed powder diffractogram
Compound: Cd4In3Hg2
Radiation: Cu Kα (weighted mean of Kα1 and Kα2)
Structure: a DFT-relaxed cell (PBE, Alexandria)
Neutral-atom scattering factors, no anomalous dispersion.

Main lines, low angle first (2θ from 5° to 70°):
- 31.94°, d = 2.802 Å, I = 497
- 32.14°, d = 2.785 Å, I = 1000
- 38.52°, d = 2.337 Å, I = 605
- 39.13°, d = 2.302 Å, I = 287
- 39.87°, d = 2.261 Å, I = 275
- 52.02°, d = 1.758 Å, I = 126

Cell and atoms:
Lattice parameters (Å, degrees): 5.827 6.159 7.006 82.70 65.60 80.03
Space group P-1 (No. 2)
Asymmetric unit:
Cd 0.051 0.127 0.286 (multiplicity 2)
Cd 0.174 0.338 0.839 (multiplicity 2)
In 0.375 0.785 0.956 (multiplicity 2)
In 0.500 0.000 0.500 (multiplicity 1)
Hg 0.281 0.546 0.391 (multiplicity 2)